# 1
This entry pairs a crystal structure of AgPbSI with its calculated powder XRD pattern. Radiation: Cu Kα (λ = 1.5418 Å). Structure: the GGA-PBE geometry in OQMD.
Kinematic intensities with the Lorentz-polarization factor, no thermal factor.

Largest 12 diffraction maxima, low angle first, 10° ≤ 2θ ≤ 90°:
- 16.59 deg, 5.344 Å, rel. 53, (1 1 0)
- 22.91 deg, 3.881 Å, rel. 100, (1 0 2)
- 24.91 deg, 3.574 Å, rel. 79, (0 2 1)
- 25.66 deg, 3.472 Å, rel. 45, (1 1 2)
- 27.74 deg, 3.215 Å, rel. 66, (1 2 1)
- 28.55 deg, 3.126 Å, rel. 46, (2 1 1)
- 32.62 deg, 2.745 Å, rel. 22, (1 2 2)
- 33.32 deg, 2.689 Å, rel. 83, (2 1 2)
- 33.54 deg, 2.672 Å, rel. 25, (2 2 0)
- 38.46 deg, 2.340 Å, rel. 26, (3 1 0)
- 39.49 deg, 2.282 Å, rel. 38, (0 0 4)
- 47.75 deg, 1.905 Å, rel. 25, (1 3 3)

Structural model:
```
data_AgPbSI
_chemical_formula_sum 'Ag4 Pb4 S4 I4'
_symmetry_space_group_name_H-M 'P 21 21 21'
_symmetry_Int_Tables_number 19
_cell_length_a 7.363
_cell_length_b 7.768
_cell_length_c 9.135
_cell_angle_alpha 90.00
_cell_angle_beta 90.00
_cell_angle_gamma 90.00
loop_
_symmetry_equiv_pos_as_xyz
'x,y,z'
'-x+1/2,-y,z+1/2'
'x+1/2,-y+1/2,-z'
'-x,y+1/2,-z+1/2'
loop_
_atom_site_label
_atom_site_fract_x
_atom_site_fract_y
_atom_site_fract_z
Ag1 0.111 0.118 0.326
Pb1 0.239 0.578 0.402
S1 0.023 0.329 0.127
I1 0.003 0.825 0.885
```

---

# 2
This entry pairs a crystal structure of AgPdI6 with its calculated powder XRD pattern. Radiation: Cu Kα (λ = 1.5418 Å). Structure: the GGA-PBE geometry in OQMD.
Kinematic intensities with the Lorentz-polarization factor, no thermal factor.

Largest 12 diffraction maxima, low angle first, 10° ≤ 2θ ≤ 90°:
- 14.27 deg, 6.208 Å, rel. 17, (1 1 1)
- 16.49 deg, 5.376 Å, rel. 34, (2 0 0)
- 27.51 deg, 3.242 Å, rel. 17, (3 1 1)
- 28.76 deg, 3.104 Å, rel. 100, (2 2 2)
- 33.33 deg, 2.688 Å, rel. 86, (4 0 0)
- 37.40 deg, 2.404 Å, rel. 17, (4 2 0)
- 47.85 deg, 1.901 Å, rel. 60, (4 4 0)
- 56.79 deg, 1.621 Å, rel. 42, (6 2 2)
- 59.57 deg, 1.552 Å, rel. 20, (4 4 4)
- 77.37 deg, 1.233 Å, rel. 17, (6 6 2)
- 79.77 deg, 1.202 Å, rel. 26, (8 4 0)
- 89.25 deg, 1.097 Å, rel. 20, (8 4 4)

Structural model:
```
data_AgPdI6
_chemical_formula_sum 'Ag4 Pd4 I24'
_symmetry_space_group_name_H-M 'F -4 3 m'
_symmetry_Int_Tables_number 216
_symmetry_space_group_name_Hall 'F -4 2 3'
_cell_length_a 10.753
_cell_length_b 10.753
_cell_length_c 10.753
_cell_angle_alpha 90.00
_cell_angle_beta 90.00
_cell_angle_gamma 90.00
loop_
_atom_site_label
_atom_site_fract_x
_atom_site_fract_y
_atom_site_fract_z
Ag1 0.000 0.000 0.000
Pd1 0.250 0.250 0.750
I1 0.000 0.000 0.258
```

---

# 3
This entry pairs a crystal structure of Ag2PdI4 with its calculated powder XRD pattern. Radiation: Cu Kα (λ = 1.5418 Å). Structure: the GGA-PBE geometry in OQMD.
Kinematic intensities with the Lorentz-polarization factor, no thermal factor.

Largest 12 diffraction maxima, low angle first, 10° ≤ 2θ ≤ 90°:
- 24.60 deg, 3.619 Å, rel. 100, (1 1 2)
- 25.33 deg, 3.516 Å, rel. 6, (1 0 3)
- 33.03 deg, 2.712 Å, rel. 8, (2 1 1)
- 40.50 deg, 2.227 Å, rel. 49, (2 0 4)
- 41.15 deg, 2.193 Å, rel. 23, (2 2 0)
- 47.38 deg, 1.919 Å, rel. 16, (1 1 6)
- 48.53 deg, 1.876 Å, rel. 28, (1 3 2)
- 59.61 deg, 1.551 Å, rel. 7, (4 0 0)
- 64.53 deg, 1.444 Å, rel. 12, (3 1 6)
- 73.21 deg, 1.293 Å, rel. 8, (2 2 8)
- 74.55 deg, 1.273 Å, rel. 13, (4 2 4)
- 80.32 deg, 1.195 Å, rel. 5, (5 1 2)

Structural model:
```
data_Ag2PdI4
_chemical_formula_sum 'Ag4 Pd2 I8'
_symmetry_space_group_name_H-M 'I -4'
_symmetry_Int_Tables_number 82
_cell_length_a 6.204
_cell_length_b 6.204
_cell_length_c 12.802
_cell_angle_alpha 90.00
_cell_angle_beta 90.00
_cell_angle_gamma 90.00
loop_
_symmetry_equiv_pos_as_xyz
'x,y,z'
'y,-x,-z'
'-x,-y,z'
'-y,x,-z'
'x+1/2,y+1/2,z+1/2'
'y+1/2,-x+1/2,-z+1/2'
'-x+1/2,-y+1/2,z+1/2'
'-y+1/2,x+1/2,-z+1/2'
loop_
_atom_site_label
_atom_site_fract_x
_atom_site_fract_y
_atom_site_fract_z
Ag1 0.000 0.000 0.000
Ag2 0.000 0.500 0.250
Pd1 0.000 0.000 0.500
I1 0.222 0.743 0.630
```